Structure and computed X-ray powder pattern of Zn7Sb2O12 (a DFT-relaxed cell (GGA-PBE, the Materials Project); CuKα).
Lines closer than 0.1° are merged.

Cell and atoms:
Cell lengths 6.2473, 8.7202, 10.5642 Å; angles 113.50, 106.18, 92.01 degrees
Fractional coordinates of all 42 atoms:
Zn  0.0000  0.0000  0.0000
Zn  0.0518  0.4576  0.1651
Zn  0.1569  0.1514  0.8220
Zn  0.1669  0.1720  0.3311
Zn  0.2791  0.8593  0.5033
Zn  0.3243  0.3212  0.6514
Zn  0.3801  0.8003  0.8199
Zn  0.5000  0.5000  0.5000
Zn  0.6199  0.1997  0.1801
Zn  0.6757  0.6788  0.3486
Zn  0.7209  0.1407  0.4967
Zn  0.8331  0.8280  0.6689
Zn  0.8431  0.8486  0.1780
Zn  0.9482  0.5424  0.8349
Sb  0.0000  0.5000  0.5000
Sb  0.3316  0.8390  0.1711
Sb  0.5000  0.5000  0.0000
Sb  0.6684  0.1610  0.8289
O  0.0004  0.2663  0.4990
O  0.9996  0.7337  0.5010
O  0.0259  0.7566  0.0179
O  0.1309  0.9286  0.8340
O  0.1554  0.4247  0.3449
O  0.1767  0.9025  0.3215
O  0.2058  0.4048  0.8394
O  0.3088  0.5705  0.6544
O  0.3385  0.0632  0.1633
O  0.3400  0.5885  0.1555
O  0.3568  0.0953  0.6820
O  0.4662  0.2627  0.4934
O  0.4879  0.7381  0.0074
O  0.5121  0.2619  0.9926
O  0.5338  0.7373  0.5066
O  0.6432  0.9047  0.3180
O  0.6600  0.4115  0.8445
O  0.6615  0.9368  0.8367
O  0.6912  0.4295  0.3456
O  0.7942  0.5952  0.1606
O  0.8233  0.0975  0.6785
O  0.8446  0.5753  0.6551
O  0.8691  0.0714  0.1660
O  0.9741  0.2434  0.9821

Main lines, in order of rising 2θ (2θ from 5° to 70°):
2theta  I_rel
17.74  59
29.21  23
33.54  53
34.08  100
34.23  48
34.76  21
41.41  32
59.14  30


Structure and computed X-ray powder pattern of BaOsO3 (a DFT-relaxed cell (GGA-PBE, the Materials Project); CuKα).
Lines closer than 0.1° are merged.

Cell and atoms:
Cell lengths 4.0642, 4.0642, 4.0642 Å; angles 90.00, 90.00, 90.00 degrees
Fractional coordinates of all 5 atoms:
Ba  0.0000  0.0000  0.0000
Os  0.5000  0.5000  0.5000
O  0.0000  0.5000  0.5000
O  0.5000  0.0000  0.5000
O  0.5000  0.5000  0.0000

Main lines, in order of rising 2θ (2θ from 5° to 70°):
2theta  I_rel
21.87  7
31.12  100
44.59  27
50.19  3
55.37  40
64.89  17
69.37  1


Structure and computed X-ray powder pattern of NaZn13 (a DFT-relaxed cell (GGA-PBE, the Materials Project); CuKα).
Lines closer than 0.1° are merged.

Cell and atoms:
Cell lengths 8.6941, 8.6941, 8.6941 Å; angles 60.00, 60.00, 60.00 degrees
Fractional coordinates of all 28 atoms:
Na  0.2500  0.2500  0.2500
Na  0.7500  0.7500  0.7500
Zn  0.0000  0.0000  0.0000
Zn  0.0607  0.3003  0.6997
Zn  0.0607  0.6997  0.9393
Zn  0.0607  0.9393  0.3003
Zn  0.1997  0.4393  0.8003
Zn  0.1997  0.5607  0.4393
Zn  0.1997  0.8003  0.5607
Zn  0.3003  0.0607  0.9393
Zn  0.3003  0.6997  0.0607
Zn  0.3003  0.9393  0.6997
Zn  0.4393  0.1997  0.5607
Zn  0.4393  0.5607  0.8003
Zn  0.4393  0.8003  0.1997
Zn  0.5000  0.5000  0.5000
Zn  0.5607  0.1997  0.8003
Zn  0.5607  0.4393  0.1997
Zn  0.5607  0.8003  0.4393
Zn  0.6997  0.0607  0.3003
Zn  0.6997  0.3003  0.9393
Zn  0.6997  0.9393  0.0607
Zn  0.8003  0.1997  0.4393
Zn  0.8003  0.4393  0.5607
Zn  0.8003  0.5607  0.1997
Zn  0.9393  0.0607  0.6997
Zn  0.9393  0.3003  0.0607
Zn  0.9393  0.6997  0.3003

Main lines, in order of rising 2θ (2θ from 5° to 70°):
2theta  I_rel
14.41  39
20.43  8
32.57  10
35.78  41
41.55  7
43.55  100
44.20  47
69.67  16


Structure and computed X-ray powder pattern of VSb2 (a DFT-relaxed cell (GGA-PBE, the Materials Project); CuKα).
Lines closer than 0.1° are merged.

Cell and atoms:
Cell lengths 5.4480, 5.4480, 5.4480 Å; angles 105.36, 105.36, 118.06 degrees
Fractional coordinates of all 6 atoms:
V  0.2500  0.2500  0.0000
V  0.7500  0.7500  0.0000
Sb  0.1569  0.6569  0.8138
Sb  0.3431  0.1569  0.5000
Sb  0.6569  0.8431  0.5000
Sb  0.8431  0.3431  0.1862

Main lines, in order of rising 2θ (2θ from 5° to 70°):
2theta  I_rel
31.92  16
34.31  100
37.41  17
42.28  17
43.31  25
58.43  21
60.05  12
68.99  14


Structure and computed X-ray powder pattern of TmMn6Sn4Ge2 (a DFT-relaxed cell (GGA-PBE, the Materials Project); CuKα).
Lines closer than 0.1° are merged.

Cell and atoms:
Cell lengths 5.3380, 5.3380, 8.6413 Å; angles 90.00, 90.00, 120.00 degrees
Fractional coordinates of all 13 atoms:
Tm  0.0000  0.0000  0.0000
Mn  0.0000  0.5000  0.2326
Mn  0.0000  0.5000  0.7674
Mn  0.5000  0.0000  0.2326
Mn  0.5000  0.0000  0.7674
Mn  0.5000  0.5000  0.2326
Mn  0.5000  0.5000  0.7674
Sn  0.0000  0.0000  0.3339
Sn  0.0000  0.0000  0.6661
Sn  0.3333  0.6667  0.5000
Sn  0.6667  0.3333  0.5000
Ge  0.3333  0.6667  0.0000
Ge  0.6667  0.3333  0.0000

Main lines, in order of rising 2θ (2θ from 5° to 70°):
2theta  I_rel
33.58  100
36.76  80
38.97  42
39.69  80
41.81  21
44.45  43
46.38  32
62.13  36


Structure and computed X-ray powder pattern of SO4 (a DFT-relaxed cell (GGA-PBE, the Materials Project); CuKα).
Lines closer than 0.1° are merged.

Cell and atoms:
Cell lengths 5.0085, 5.0085, 9.0669 Å; angles 108.78, 108.78, 58.13 degrees
Fractional coordinates of all 10 atoms:
S  0.0918  0.9082  0.7500
S  0.9082  0.0918  0.2500
O  0.0744  0.2265  0.8211
O  0.2265  0.0744  0.3211
O  0.2582  0.7389  0.6132
O  0.2611  0.7418  0.8868
O  0.7389  0.2582  0.1132
O  0.7418  0.2611  0.3868
O  0.7735  0.9256  0.6789
O  0.9256  0.7735  0.1789

Main lines, in order of rising 2θ (2θ from 5° to 70°):
2theta  I_rel
21.08  58
21.27  88
21.85  100
24.17  37
25.53  39
27.07  81
35.91  28
42.85  22


Structure and computed X-ray powder pattern of MgMo2S4 (a DFT-relaxed cell (GGA-PBE, the Materials Project); CuKα).
Lines closer than 0.1° are merged.

Cell and atoms:
Cell lengths 3.2005, 3.2005, 16.6513 Å; angles 90.00, 90.00, 120.00 degrees
Fractional coordinates of all 7 atoms:
Mg  0.0000  0.0000  0.0000
Mo  0.3333  0.6667  0.2578
Mo  0.3333  0.6667  0.7343
S  0.0000  0.0000  0.1635
S  0.0000  0.0000  0.3512
S  0.6667  0.3333  0.6408
S  0.6667  0.3333  0.8291

Main lines, in order of rising 2θ (2θ from 5° to 70°):
2theta  I_rel
10.63  100
32.76  9
34.09  25
39.04  25
42.43  9
46.30  19
57.60  9
58.76  7


Structure and computed X-ray powder pattern of CeAlO3 (a DFT-relaxed cell (GGA-PBE, the Materials Project); CuKα).
Lines closer than 0.1° are merged.

Cell and atoms:
Cell lengths 5.3521, 7.6402, 5.3539 Å; angles 90.00, 90.00, 90.00 degrees
Fractional coordinates of all 20 atoms:
Ce  0.0166  0.2500  0.0056
Ce  0.4834  0.7500  0.5056
Ce  0.5166  0.2500  0.4944
Ce  0.9834  0.7500  0.9944
Al  0.0000  0.0000  0.5000
Al  0.0000  0.5000  0.5000
Al  0.5000  0.0000  0.0000
Al  0.5000  0.5000  0.0000
O  0.0040  0.7500  0.4520
O  0.2255  0.5245  0.7738
O  0.2255  0.9755  0.7738
O  0.2745  0.0245  0.2738
O  0.2745  0.4755  0.2738
O  0.4960  0.2500  0.9520
O  0.5040  0.7500  0.0480
O  0.7255  0.5245  0.7262
O  0.7255  0.9755  0.7262
O  0.7745  0.0245  0.2262
O  0.7745  0.4755  0.2262
O  0.9960  0.2500  0.5480

Main lines, in order of rising 2θ (2θ from 5° to 70°):
2theta  I_rel
23.29  25
23.50  49
33.32  100
33.48  49
41.18  60
48.08  33
59.45  21
59.75  39


Structure and computed X-ray powder pattern of LuAl3C3 (a DFT-relaxed cell (GGA-PBE, the Materials Project); CuKα).
Lines closer than 0.1° are merged.

Cell and atoms:
Cell lengths 3.4036, 3.4036, 17.1389 Å; angles 90.00, 90.00, 120.00 degrees
Fractional coordinates of all 14 atoms:
Lu  0.0000  0.0000  0.0000
Lu  0.0000  0.0000  0.5000
Al  0.3333  0.6667  0.1321
Al  0.3333  0.6667  0.3679
Al  0.3333  0.6667  0.7500
Al  0.6667  0.3333  0.2500
Al  0.6667  0.3333  0.6321
Al  0.6667  0.3333  0.8679
C  0.3333  0.6667  0.2500
C  0.3333  0.6667  0.5903
C  0.3333  0.6667  0.9097
C  0.6667  0.3333  0.0903
C  0.6667  0.3333  0.4097
C  0.6667  0.3333  0.7500

Main lines, in order of rising 2θ (2θ from 5° to 70°):
2theta  I_rel
10.32  100
20.73  24
30.32  18
32.11  86
37.02  57
44.15  37
53.87  22
62.71  13


Structure and computed X-ray powder pattern of Hf3N4 (a DFT-relaxed cell (GGA-PBE, the Materials Project); CuKα).
Lines closer than 0.1° are merged.

Cell and atoms:
Cell lengths 6.4154, 6.4154, 6.4154 Å; angles 60.00, 60.00, 60.00 degrees
Fractional coordinates of all 14 atoms:
Hf  0.0000  0.0000  0.0000
Hf  0.0000  0.0000  0.5000
Hf  0.0000  0.5000  0.0000
Hf  0.3750  0.3750  0.3750
Hf  0.5000  0.0000  0.0000
Hf  0.6250  0.6250  0.6250
N  0.2267  0.7578  0.7578
N  0.2422  0.2422  0.2422
N  0.2422  0.2422  0.7733
N  0.2422  0.7733  0.2422
N  0.7578  0.2267  0.7578
N  0.7578  0.7578  0.2267
N  0.7578  0.7578  0.7578
N  0.7733  0.2422  0.2422

Main lines, in order of rising 2θ (2θ from 5° to 70°):
2theta  I_rel
27.81  27
32.74  100
34.24  29
49.20  11
52.40  37
57.46  37
67.72  13
68.61  13


Structure and computed X-ray powder pattern of EuSi2Ir2 (a DFT-relaxed cell (GGA-PBE, the Materials Project); CuKα).
Lines closer than 0.1° are merged.

Cell and atoms:
Cell lengths 5.8875, 5.8875, 5.8875 Å; angles 139.03, 139.03, 59.32 degrees
Fractional coordinates of all 5 atoms:
Eu  0.0000  0.0000  0.0000
Si  0.3738  0.3738  0.0000
Si  0.6262  0.6262  0.0000
Ir  0.2500  0.7500  0.5000
Ir  0.7500  0.2500  0.5000

Main lines, in order of rising 2θ (2θ from 5° to 70°):
2theta  I_rel
17.33  26
34.13  15
35.08  21
35.46  100
43.95  34
47.29  13
57.43  20
63.18  19


> Which formula does entry 3 have?

NaZn13


Please write out number 5 again, unchanged.
Structure and computed X-ray powder pattern of TmMn6Sn4Ge2 (a DFT-relaxed cell (GGA-PBE, the Materials Project); CuKα).
Lines closer than 0.1° are merged.

Cell and atoms:
Cell lengths 5.3380, 5.3380, 8.6413 Å; angles 90.00, 90.00, 120.00 degrees
Fractional coordinates of all 13 atoms:
Tm  0.0000  0.0000  0.0000
Mn  0.0000  0.5000  0.2326
Mn  0.0000  0.5000  0.7674
Mn  0.5000  0.0000  0.2326
Mn  0.5000  0.0000  0.7674
Mn  0.5000  0.5000  0.2326
Mn  0.5000  0.5000  0.7674
Sn  0.0000  0.0000  0.3339
Sn  0.0000  0.0000  0.6661
Sn  0.3333  0.6667  0.5000
Sn  0.6667  0.3333  0.5000
Ge  0.3333  0.6667  0.0000
Ge  0.6667  0.3333  0.0000

Main lines, in order of rising 2θ (2θ from 5° to 70°):
2theta  I_rel
33.58  100
36.76  80
38.97  42
39.69  80
41.81  21
44.45  43
46.38  32
62.13  36


Copy entry 9 word for word.
Structure and computed X-ray powder pattern of LuAl3C3 (a DFT-relaxed cell (GGA-PBE, the Materials Project); CuKα).
Lines closer than 0.1° are merged.

Cell and atoms:
Cell lengths 3.4036, 3.4036, 17.1389 Å; angles 90.00, 90.00, 120.00 degrees
Fractional coordinates of all 14 atoms:
Lu  0.0000  0.0000  0.0000
Lu  0.0000  0.0000  0.5000
Al  0.3333  0.6667  0.1321
Al  0.3333  0.6667  0.3679
Al  0.3333  0.6667  0.7500
Al  0.6667  0.3333  0.2500
Al  0.6667  0.3333  0.6321
Al  0.6667  0.3333  0.8679
C  0.3333  0.6667  0.2500
C  0.3333  0.6667  0.5903
C  0.3333  0.6667  0.9097
C  0.6667  0.3333  0.0903
C  0.6667  0.3333  0.4097
C  0.6667  0.3333  0.7500

Main lines, in order of rising 2θ (2θ from 5° to 70°):
2theta  I_rel
10.32  100
20.73  24
30.32  18
32.11  86
37.02  57
44.15  37
53.87  22
62.71  13